The following is a simulated powder diffraction line list of CaEuMn4O12. It was derived from a crystal structure in Alexandria, relaxed with PBE+U, using Cu Kα, 1.54184 Å.

Atomic structure:
```
data_CaEuMn4O12
_chemical_formula_sum 'Ca1 Eu1 Mn4 O12'
_cell_length_a 5.3350
_cell_length_b 5.3350
_cell_length_c 7.5560
_cell_angle_alpha 90.00
_cell_angle_beta 90.00
_cell_angle_gamma 90.00
_space_group_name_H-M_alt 'P 4/m m m'
_space_group_IT_number 123
_space_group_name_Hall '-P 4 2'
loop_
_atom_site_label
_atom_site_type_symbol
_atom_site_fract_x
_atom_site_fract_y
_atom_site_fract_z
Ca1 Ca 0.0000 0.0000 0.0000
Eu1 Eu 0.5000 0.5000 0.5000
Mn1 Mn 0.0000 0.5000 0.2477
O1 O 0.0000 0.5000 0.0000
O2 O 0.0000 0.5000 0.5000
O3 O 0.2529 0.2529 0.2563
```

Principal peaks in the range 2θ = 10–90°, sorted by position:
Position (°2θ)	I (rel.)	hkl
11.71	19	0 0 1
16.62	18	1 0 0
20.38	72	1 0 1
26.41	13	1 1 1
33.58	100	2 0 0
39.60	39	2 1 1
48.22	50	2 2 0
52.87	16	2 1 3
60.04	37	2 0 4
70.58	27	4 0 0